No. 1
CaTeO4: calculated powder diffraction line list (λ = 1.5418 Å (Cu Kα)), based on a DFT-relaxed cell (GGA-PBE, the Materials Project).
Lines closer than 0.1° are merged.

Crystal structure
Unit cell a=5.308 b=12.823 c=5.071 alpha=90.00 beta=90.00 gamma=90.00
Space group Pbcn (No. 60)
One atom of each set of equivalent atoms:
Ca 0.000 0.170 0.250 x4
Te 0.000 0.428 0.250 x4
O 0.203 0.456 0.571 x8
O 0.219 0.326 0.116 x8

Main lines, in order of rising 2θ (10 to 80 degrees two-theta):
2theta	I_rel	h k l
13.8	33	0 2 0
18.1	100	1 1 0
22.4	29	0 2 1
25.3	76	1 1 1
32.2	59	1 3 1
33.1	32	0 4 1
35.4	17	0 0 2
40.0	18	1 1 2
48.0	49	2 4 1
49.7	22	2 0 2

---

No. 2
Nb3Ge: calculated powder diffraction line list (λ = 1.5418 Å (Cu Kα)), based on a DFT-relaxed cell (GGA-PBE, the Materials Project).
Lines closer than 0.1° are merged.

Crystal structure
Unit cell a=5.175 b=5.175 c=5.175 alpha=90.00 beta=90.00 gamma=90.00
Space group Pm-3n (No. 223)
One atom of each set of equivalent atoms:
Nb 0.000 0.250 0.500 x6
Ge 0.000 0.000 0.000 x2

Main lines, in order of rising 2θ (10 to 80 degrees two-theta):
2theta	I_rel	h k l
24.3	2	1 1 0
34.7	28	2 0 0
38.9	100	2 1 0
42.8	61	2 1 1
62.1	10	2 2 2
65.0	21	3 2 0
67.7	30	3 2 1
73.1	13	4 0 0

---

No. 3
Nd2ThS5: calculated powder diffraction line list (λ = 1.5418 Å (Cu Kα)), based on a DFT-relaxed cell (GGA-PBE, the Materials Project).
Lines closer than 0.1° are merged.

Crystal structure
Unit cell a=12.071 b=8.258 c=7.579 alpha=90.00 beta=90.00 gamma=90.00
Space group Pnma (No. 62)
One atom of each set of equivalent atoms:
Nd 0.178 0.000 0.021 x8
Th 0.010 0.250 0.575 x4
S 0.001 0.250 0.959 x4
S 0.099 0.543 0.664 x8
S 0.188 0.250 0.327 x4
S 0.216 0.750 0.301 x4

Main lines, in order of rising 2θ (10 to 80 degrees two-theta):
2theta	I_rel	h k l
23.5	45	0 0 2
25.1	100	3 0 1
25.7	84	1 2 1
26.1	69	2 2 0
35.4	70	2 2 2
36.9	32	4 2 0
43.9	28	0 4 0
45.1	60	6 0 0
51.2	31	3 4 1
51.4	27	6 0 2

---

No. 4
Zr10Ga3Sb3: calculated powder diffraction line list (λ = 1.5418 Å (Cu Kα)), based on a DFT-relaxed cell (GGA-PBE, the Materials Project).
Lines closer than 0.1° are merged.

Crystal structure
Unit cell a=8.3715 b=8.3715 c=5.7213 alpha=90.00 beta=90.00 gamma=120.00
Space group P-62m (No. 189)
One atom of each set of equivalent atoms:
Zr 0.0000 0.2500 0.0000 x3
Zr 0.0000 0.7500 0.5000 x3
Zr 0.3333 0.6667 0.2562 x4
Ga 0.0000 0.3877 0.5000 x3
Sb 0.0000 0.6081 0.0000 x3

Main lines, in order of rising 2θ (10 to 80 degrees two-theta):
2theta	I_rel	h k l
31.3	20	0 0 2
32.7	28	2 1 0
36.4	100	2 1 1
37.2	55	3 0 0
38.1	80	1 1 2
48.0	17	3 1 1
54.3	18	2 2 2
59.0	24	2 1 3
73.2	14	5 0 2
77.6	12	3 0 4

---

No. 5
Rb2InCuBr6: calculated powder diffraction line list (λ = 1.5418 Å (Cu Kα)), based on a DFT-relaxed cell (GGA-PBE, the Materials Project).
Lines closer than 0.1° are merged.

Crystal structure
Unit cell a=10.832 b=10.832 c=10.832 alpha=90.00 beta=90.00 gamma=90.00
Space group Fm-3m (No. 225)
One atom of each set of equivalent atoms:
Rb 0.250 0.250 0.250 x8
In 0.000 0.000 0.000 x4
Cu 0.000 0.000 0.500 x4
Br 0.000 0.000 0.254 x24

Main lines, in order of rising 2θ (10 to 80 degrees two-theta):
2theta	I_rel	h k l
16.4	25	2 0 0
23.2	26	2 2 0
28.5	63	2 2 2
33.1	100	4 0 0
37.1	13	4 2 0
40.8	12	4 2 2
47.5	70	4 4 0
56.3	26	6 2 2
59.1	24	4 4 4
79.1	31	8 4 0

---

No. 6
Li2CeAs2: calculated powder diffraction line list (λ = 1.5418 Å (Cu Kα)), based on a DFT-relaxed cell (GGA-PBE, the Materials Project).
Lines closer than 0.1° are merged.

Crystal structure
Unit cell a=4.2781 b=4.2781 c=6.8480 alpha=90.00 beta=90.00 gamma=120.00
Space group P-3m1 (No. 164)
One atom of each set of equivalent atoms:
Li 0.3333 0.6667 0.1238 x2
Ce 0.0000 0.0000 0.5000 x1
As 0.3333 0.6667 0.7319 x2

Main lines, in order of rising 2θ (10 to 80 degrees two-theta):
2theta	I_rel	h k l
12.9	62	0 0 1
27.4	100	0 1 1
35.7	69	0 1 2
42.2	42	1 1 0
44.4	18	1 1 1
46.7	29	1 0 3
51.1	18	2 0 1
56.5	18	2 0 2
68.4	15	1 2 1
73.0	17	1 2 2

---

No. 7
Dy2Fe17C3: calculated powder diffraction line list (λ = 1.5418 Å (Cu Kα)), based on a DFT-relaxed cell (GGA-PBE, the Materials Project).
Lines closer than 0.1° are merged.

Crystal structure
Unit cell a=8.6203 b=8.6203 c=12.5435 alpha=90.00 beta=90.00 gamma=120.00
Space group R-3m (No. 166, hexagonal axes)
One atom of each set of equivalent atoms:
Dy 0.0000 0.0000 0.1583 x6
Fe 0.0000 0.0000 0.4041 x6
Fe 0.0000 0.2830 0.5000 x18
Fe 0.0000 0.5000 0.0000 x9
Fe 0.0078 0.5039 0.3480 x18
C 0.0000 0.5000 0.5000 x9

Main lines, in order of rising 2θ (10 to 80 degrees two-theta):
2theta	I_rel	h k l
29.8	44	1 1 3
36.1	40	3 0 0
37.5	31	0 2 4
41.9	76	2 2 0
42.3	100	3 0 3
43.1	20	2 1 4
43.3	35	0 0 6
61.0	22	1 4 3
61.8	20	2 2 6
76.6	16	6 0 0

---

No. 8
La6Ni6P17: calculated powder diffraction line list (λ = 1.5418 Å (Cu Kα)), based on a DFT-relaxed cell (GGA-PBE, the Materials Project).
Lines closer than 0.1° are merged.

Crystal structure
Unit cell a=10.191 b=10.191 c=10.191 alpha=90.00 beta=90.00 gamma=90.00
Space group I-43m (No. 217)
One atom of each set of equivalent atoms:
La 0.000 0.000 0.290 x12
Ni 0.000 0.250 0.500 x12
P 0.000 0.000 0.000 x2
P 0.067 0.299 0.299 x24
P 0.214 0.214 0.786 x8

Main lines, in order of rising 2θ (10 to 80 degrees two-theta):
2theta	I_rel	h k l
24.7	16	2 2 0
27.7	39	3 1 0
30.4	100	2 2 2
35.2	78	4 0 0
37.4	60	3 3 0
43.5	20	4 2 2
49.0	18	5 2 1
50.7	37	4 4 0
60.2	39	6 2 2
67.5	21	5 5 2

---

No. 9
In2Hg3Te6: calculated powder diffraction line list (λ = 1.5418 Å (Cu Kα)), based on a DFT-relaxed cell (GGA-PBE, the Materials Project).
Lines closer than 0.1° are merged.

Crystal structure
Unit cell a=14.764 b=6.408 c=9.176 alpha=90.00 beta=109.73 gamma=90.00
Space group C2 (No. 5)
One atom of each set of equivalent atoms:
In 0.167 0.000 0.339 x4
Hg 0.000 0.442 0.000 x2
Hg 0.158 0.993 0.820 x4
Te 0.005 0.263 0.282 x4
Te 0.154 0.713 0.570 x4
Te 0.166 0.738 0.085 x4

Main lines, in order of rising 2θ (10 to 80 degrees two-theta):
2theta	I_rel	h k l
23.7	100	3 1 0
23.9	91	1 1 -2
38.9	26	6 0 0
39.1	49	4 2 -2
39.3	27	2 0 -4
39.7	45	2 2 2
45.6	16	7 1 -2
45.9	16	5 1 -4
46.6	15	5 1 2
46.9	41	1 3 -2

---

No. 10
BaGe2Au2: calculated powder diffraction line list (λ = 1.5418 Å (Cu Kα)), based on a DFT-relaxed cell (GGA-PBE, the Materials Project).
Lines closer than 0.1° are merged.

Crystal structure
Unit cell a=4.730 b=4.730 c=10.663 alpha=90.00 beta=90.00 gamma=90.00
Space group I4/mmm (No. 139)
One atom of each set of equivalent atoms:
Ba 0.000 0.000 0.000 x2
Ge 0.000 0.000 0.376 x4
Au 0.000 0.500 0.250 x4

Main lines, in order of rising 2θ (10 to 80 degrees two-theta):
2theta	I_rel	h k l
16.6	23	0 0 2
31.6	100	1 1 2
38.0	42	2 0 0
41.8	10	2 0 2
43.4	22	1 1 4
51.7	11	2 0 4
54.9	14	2 2 0
58.8	14	1 1 6
64.7	24	3 1 2
72.4	10	3 1 4